This entry pairs a crystal structure of NaTe2F11 with its computed X-ray diffraction stick pattern. Radiation: CuKα. Structure: a GGA-PBE-relaxed structure.
No peak broadening, texture or thermal motion is included.

Most intense lines, 2θ = 5–70°, by angle:
2θ/deg, Rel. int.
17.47, 50
17.96, 32
21.70, 16
22.00, 21
22.16, 100
25.16, 32
33.50, 18
34.04, 15
42.73, 9
43.00, 9
45.22, 9
57.56, 9

Crystal structure
Lattice parameters (Å, degrees): 8.5932 8.5932 8.5932 107.58 109.85 111.00
Sites, in units of the cell vectors:
Na1 0.0000 0.0000 0.0000
Na2 0.0000 0.5000 0.5000
Te1 0.0529 0.5291 0.0238
Te2 0.3774 0.3166 0.5608
Te3 0.5053 0.0291 0.9762
Te4 0.7558 0.8166 0.4392
F1 0.0232 0.9374 0.5858
F2 0.0488 0.2823 0.9843
F3 0.0488 0.5646 0.2666
F4 0.1826 0.0840 0.3419
F5 0.1826 0.3407 0.5985
F6 0.2980 0.0646 0.0157
F7 0.2980 0.7823 0.7334
F8 0.3516 0.4374 0.4142
F9 0.3887 0.1882 0.7005
F10 0.4506 0.8671 0.0835
F11 0.4876 0.6882 0.2995
F12 0.5618 0.2853 0.5126
F13 0.5618 0.5492 0.7765
F14 0.7043 0.2265 0.2465
F15 0.7043 0.9579 0.9779
F16 0.7422 0.5840 0.4015
F17 0.7422 0.8407 0.6581
F18 0.7726 0.0492 0.4874
F19 0.7726 0.7853 0.2235
F20 0.7836 0.3671 0.9165
F21 0.9800 0.4579 0.7535
F22 0.9800 0.7265 0.0221